# VInSnF6
Calculated XRD peak list, CuKα. Input: DFT lattice parameters and positions (PBE+U).

Top 10 peaks for 10 to 80 degrees two-theta, in order of falling intensity:
- hkl 1 -1 0, 23.99 deg, d 3.709, I 100
- hkl 1 0 1, 24.34 deg, d 3.656, I 95
- hkl 1 1 -1, 24.66 deg, d 3.610, I 85
- hkl 0 2 -1, 30.42 deg, d 2.939, I 74
- hkl 1 2 0, 38.81 deg, d 2.321, I 41
- hkl 0 1 1, 29.20 deg, d 3.059, I 41
- hkl 1 0 -2, 38.35 deg, d 2.347, I 38
- hkl 1 -2 2, 39.86 deg, d 2.262, I 35
- hkl 2 1 -2, 46.50 deg, d 1.953, I 30
- hkl -2 1 1, 45.45 deg, d 1.996, I 23

Lattice parameters (Å, degrees): 5.1905 5.8834 5.8836 117.34 90.52 90.47
Element x y z (fractional)
V1 0.0000 0.0000 0.0000
In1 0.4602 0.3307 0.6620
Sn1 0.9283 0.6600 0.3194
F1 0.1950 0.3434 0.1143
F2 0.1981 0.8110 0.6822
F3 0.2137 0.8807 0.2108
F4 0.7723 0.0951 0.7980
F5 0.8044 0.1928 0.3083
F6 0.8070 0.6731 0.9256